Structure and simulated powder diffraction line list of Sm7YEr2 (the GGA-PBE geometry in Alexandria; Cu Kα).
Kinematic intensities with the Lorentz-polarization factor, no thermal factor.

Cell and atoms:
```
data_Sm7YEr2
_symmetry_space_group_name_H-M 'P -1'
_symmetry_Int_Tables_number 2
_cell_length_a 6.2282
_cell_length_b 6.2327
_cell_length_c 9.5146
_cell_angle_alpha 102.53
_cell_angle_beta 109.04
_cell_angle_gamma 99.51
loop_
_symmetry_equiv_pos_as_xyz
'x,y,z'
'-x,-y,-z'
loop_
_atom_site_label
_atom_site_fract_x
_atom_site_fract_y
_atom_site_fract_z
Sm1 0.0000 0.0000 0.0000
Sm2 0.1994 0.9997 0.3991
Sm3 0.2013 0.5020 0.9007
Sm4 0.4018 0.5007 0.3000
Y1 0.0000 0.5000 0.5000
Er1 0.4002 0.0002 0.8004
```

Top 10 peaks for 2θ from 10° to 90°, in order of rising 2θ:
| (hkl) | 2θ (°) | intensity |
| --- | --- | --- |
| 1 0 2 | 30.42 | 1000 |
| 2 1 -1 | 35.27 | 506 |
| 1 2 2 | 50.63 | 61 |
| 3 0 -4 | 50.76 | 300 |
| 3 1 1 | 60.24 | 143 |
| 4 0 -2 | 60.36 | 285 |
| 2 0 4 | 63.23 | 62 |
| 2 2 -6 | 63.38 | 62 |
| 5 -2 0 | 82.73 | 88 |
| 5 1 -5 | 85.36 | 96 |